Calculated PXRD pattern
Compound: Ba2Ca2Tl2Sn3O10
Radiation: Cu Kα, 1.54184 Å
Structure: a cell relaxed with GGA-PBE

Crystal structure
Cell: 4.036 4.056 20.773 Å, 95.40 95.16 90.03°
Space group P1 (No. 1)
Asymmetric unit:
1 Ba 0.000 0.000 0.000 (multiplicity 1)
2 Ba 0.308 0.306 0.642 (multiplicity 1)
3 Ca 0.092 0.116 0.238 (multiplicity 1)
4 Ca 0.193 0.199 0.423 (multiplicity 1)
5 Tl 0.339 0.432 0.872 (multiplicity 1)
6 Tl 0.829 0.880 0.774 (multiplicity 1)
7 Sn 0.540 0.568 0.135 (multiplicity 1)
8 Sn 0.649 0.665 0.347 (multiplicity 1)
9 Sn 0.737 0.742 0.512 (multiplicity 1)
10 O 0.054 0.583 0.166 (multiplicity 1)
11 O 0.129 0.648 0.311 (multiplicity 1)
12 O 0.223 0.729 0.485 (multiplicity 1)
13 O 0.290 0.373 0.756 (multiplicity 1)
14 O 0.502 0.521 0.039 (multiplicity 1)
15 O 0.552 0.083 0.166 (multiplicity 1)
16 O 0.623 0.149 0.312 (multiplicity 1)
17 O 0.680 0.945 0.893 (multiplicity 1)
18 O 0.722 0.229 0.486 (multiplicity 1)
19 O 0.789 0.788 0.608 (multiplicity 1)

Peak list (10 most intense, 2θ from 15° to 90°, low angle first)
- (0 1 3), 2θ 26.69, 3.340 Å, I = 43
- (0 1 4), 2θ 29.38, 3.040 Å, I = 87
- (0 1 -5), 2θ 29.48, 3.030 Å, I = 46
- (1 0 -5), 2θ 29.62, 3.016 Å, I = 45
- (1 1 -1), 2θ 31.26, 2.861 Å, I = 100
- (1 -1 1), 2θ 31.57, 2.834 Å, I = 18
- (0 0 8), 2θ 34.85, 2.575 Å, I = 21
- (0 2 -1), 2θ 44.68, 2.028 Å, I = 28
- (2 0 -1), 2θ 44.92, 2.018 Å, I = 24
- (1 -2 5), 2θ 54.46, 1.685 Å, I = 30



Calculated PXRD pattern
Compound: AgAuO3
Radiation: Cu Kα, 1.54184 Å
Structure: a cell relaxed with GGA-PBE

Crystal structure
Cell: 7.468 10.454 7.540 Å, 90.00 90.00 90.00°
Space group Cmcm (No. 63)
Asymmetric unit:
1 Ag 0.000 0.000 0.250 (multiplicity 4)
2 Ag 0.000 0.362 0.250 (multiplicity 4)
3 Au 0.250 0.250 0.000 (multiplicity 8)
4 O 0.000 0.161 0.019 (multiplicity 8)
5 O 0.169 0.355 0.750 (multiplicity 8)
6 O 0.212 0.480 0.750 (multiplicity 8)

Peak list (10 most intense, 2θ from 15° to 90°, low angle first)
- (0 2 0), 2θ 16.96, 5.227 Å, I = 53
- (0 2 2), 2θ 29.21, 3.058 Å, I = 100
- (2 2 0), 2θ 29.40, 3.038 Å, I = 71
- (2 0 2), 2θ 33.79, 2.653 Å, I = 71
- (1 3 2), 2θ 37.14, 2.421 Å, I = 25
- (2 2 2), 2θ 38.04, 2.366 Å, I = 35
- (2 4 0), 2θ 42.21, 2.141 Å, I = 24
- (2 4 2), 2θ 48.92, 1.862 Å, I = 29
- (2 2 4), 2θ 57.54, 1.602 Å, I = 24
- (4 2 2), 2θ 57.87, 1.593 Å, I = 28



Calculated PXRD pattern
Compound: NbNiP
Radiation: Cu Kα, 1.54184 Å
Structure: a cell relaxed with GGA-PBE

Crystal structure
Cell: 6.133 3.594 7.118 Å, 90.00 90.00 90.00°
Space group Pnma (No. 62)
Asymmetric unit:
1 Nb 0.022 0.250 0.167 (multiplicity 4)
2 Ni 0.149 0.250 0.567 (multiplicity 4)
3 P 0.218 0.750 0.378 (multiplicity 4)

Peak list (10 most intense, 2θ from 15° to 90°, low angle first)
- (1 1 2), 2θ 38.52, 2.337 Å, I = 100
- (2 0 2), 2θ 38.76, 2.323 Å, I = 11
- (2 1 1), 2θ 40.73, 2.216 Å, I = 85
- (0 1 3), 2θ 45.83, 1.980 Å, I = 13
- (3 0 1), 2θ 46.20, 1.965 Å, I = 22
- (0 2 0), 2θ 50.81, 1.797 Å, I = 24
- (1 2 3), 2θ 67.10, 1.395 Å, I = 12
- (3 2 1), 2θ 71.09, 1.326 Å, I = 11
- (3 1 4), 2θ 75.63, 1.257 Å, I = 14
- (1 3 2), 2θ 87.35, 1.116 Å, I = 9